The following is a calculated XRD peak list of Na8B9C7. It was derived from DFT lattice parameters and positions (PBE), using Cu Kα (weighted mean of Kα1 and Kα2).
No peak broadening, texture or thermal motion is included.

Peak list (10 most intense, 2θ = 10–90°, by angle)
- (2 0 0), d 2.460, 36.5°, rel. 17
- (2 0 2), d 2.127, 42.5°, rel. 100
- (0 0 4), d 2.117, 42.7°, rel. 26
- (2 0 4), d 1.605, 57.4°, rel. 10
- (2 2 0), d 1.420, 65.7°, rel. 17
- (2 2 2), d 1.347, 69.8°, rel. 1
- (4 0 0), d 1.230, 77.6°, rel. 2
- (2 0 6), d 1.224, 78.1°, rel. 12
- (4 0 2), d 1.181, 81.5°, rel. 11
- (2 2 4), d 1.179, 81.6°, rel. 17

a = 5.6819 Å, b = 5.6819 Å, c = 8.4667 Å
α = 90.00°, β = 90.00°, γ = 120.00°
Element x y z (fractional)
1 Na 0.0000 0.0000 0.2470
2 Na 0.0000 0.0000 0.7530
3 Na 0.0003 0.5001 0.2493
4 Na 0.0003 0.5001 0.7507
5 Na 0.4999 0.9997 0.2493
6 Na 0.4999 0.9997 0.7507
7 Na 0.4999 0.5001 0.2493
8 Na 0.4999 0.5001 0.7507
9 B 0.1667 0.3334 0.0000
10 B 0.1667 0.8333 0.0000
11 B 0.3194 0.1597 0.5000
12 B 0.3333 0.6667 0.5000
13 B 0.6667 0.3333 0.0000
14 B 0.6667 0.3333 0.5000
15 B 0.6666 0.8333 0.0000
16 B 0.8403 0.1597 0.5000
17 B 0.8403 0.6806 0.5000
18 C 0.1672 0.3343 0.5000
19 C 0.1672 0.8328 0.5000
20 C 0.3335 0.1667 0.0000
21 C 0.3333 0.6667 0.0000
22 C 0.6657 0.8328 0.5000
23 C 0.8333 0.1667 0.0000
24 C 0.8333 0.6665 0.0000



The following is a calculated XRD peak list of CsTl3Br8. It was derived from DFT lattice parameters and positions (PBE), using Cu Kα (weighted mean of Kα1 and Kα2).
No peak broadening, texture or thermal motion is included.

Peak list (10 most intense, 2θ = 10–90°, by angle)
- (0 1 1), d 5.947, 14.9°, rel. 100
- (1 0 2), d 4.293, 20.7°, rel. 22
- (1 1 0), d 4.122, 21.6°, rel. 50
- (0 1 3), d 3.202, 27.9°, rel. 18
- (0 2 2), d 2.973, 30.1°, rel. 42
- (1 2 1), d 2.617, 34.3°, rel. 30
- (2 1 2), d 2.411, 37.3°, rel. 15
- (2 0 4), d 2.147, 42.1°, rel. 19
- (2 2 0), d 2.061, 43.9°, rel. 32
- (1 2 4), d 1.905, 47.7°, rel. 13

a = 8.2437 Å, b = 8.2437 Å, c = 10.7474 Å
α = 90.00°, β = 90.00°, γ = 120.00°
Element x y z (fractional)
1 Cs 0.0000 0.0000 0.0000
2 Tl 0.0000 0.0000 0.5000
3 Tl 0.3333 0.6667 0.7986
4 Tl 0.6667 0.3333 0.2014
5 Br 0.1590 0.3181 0.7168
6 Br 0.1590 0.8410 0.7168
7 Br 0.3181 0.1590 0.2832
8 Br 0.3333 0.6667 0.0398
9 Br 0.6667 0.3333 0.9602
10 Br 0.6819 0.8410 0.7168
11 Br 0.8410 0.1590 0.2832
12 Br 0.8410 0.6819 0.2832